1.
The following is a theoretical XRD peak list of Sr2MgZn7. It was derived from a DFT-relaxed cell (GGA-PBE, OQMD), using Cu Kα X-rays.
No peak broadening, texture or thermal motion is included.

Crystal structure
Lattice parameters (Å, degrees): 4.327 4.327 11.412 90.00 90.00 90.00
Fractional positions:
Sr  0.000  0.500  0.240
Sr  0.500  0.000  0.760
Mg  0.000  0.000  0.500
Zn  0.000  0.000  0.000
Zn  0.000  0.500  0.645
Zn  0.000  0.500  0.873
Zn  0.500  0.000  0.127
Zn  0.500  0.000  0.355
Zn  0.500  0.500  0.000
Zn  0.500  0.500  0.500

Most intense lines, 2θ from 15° to 90°, in order of rising 2θ:
29.19 deg, intensity 17
31.31 deg, intensity 65
33.23 deg, intensity 100
41.75 deg, intensity 63
43.37 deg, intensity 26
44.90 deg, intensity 36
53.10 deg, intensity 29
60.52 deg, intensity 20
62.97 deg, intensity 25
70.81 deg, intensity 21

2.
The following is a theoretical XRD peak list of Mg4Ta3. It was derived from a DFT-relaxed cell (GGA-PBE, OQMD), using Cu Kα X-rays.
No peak broadening, texture or thermal motion is included.

Crystal structure
Lattice parameters (Å, degrees): 7.929 7.929 4.969 90.00 90.00 120.00
Fractional positions:
Mg  0.055  0.807  0.250
Mg  0.193  0.247  0.250
Mg  0.247  0.055  0.750
Mg  0.333  0.667  0.250
Mg  0.667  0.333  0.750
Mg  0.753  0.945  0.250
Mg  0.807  0.753  0.750
Mg  0.945  0.193  0.750
Ta  0.109  0.618  0.750
Ta  0.382  0.491  0.750
Ta  0.491  0.109  0.250
Ta  0.509  0.891  0.750
Ta  0.618  0.509  0.250
Ta  0.891  0.382  0.250

Most intense lines, 2θ from 15° to 90°, in order of rising 2θ:
22.08 deg, intensity 54
25.95 deg, intensity 18
28.81 deg, intensity 21
34.56 deg, intensity 33
36.16 deg, intensity 28
39.16 deg, intensity 100
50.88 deg, intensity 22
67.03 deg, intensity 21
73.86 deg, intensity 20
75.76 deg, intensity 17

Copy entry 2 word for word.
The following is a theoretical XRD peak list of Mg4Ta3. It was derived from a DFT-relaxed cell (GGA-PBE, OQMD), using Cu Kα X-rays.
No peak broadening, texture or thermal motion is included.

Crystal structure
Lattice parameters (Å, degrees): 7.929 7.929 4.969 90.00 90.00 120.00
Fractional positions:
Mg  0.055  0.807  0.250
Mg  0.193  0.247  0.250
Mg  0.247  0.055  0.750
Mg  0.333  0.667  0.250
Mg  0.667  0.333  0.750
Mg  0.753  0.945  0.250
Mg  0.807  0.753  0.750
Mg  0.945  0.193  0.750
Ta  0.109  0.618  0.750
Ta  0.382  0.491  0.750
Ta  0.491  0.109  0.250
Ta  0.509  0.891  0.750
Ta  0.618  0.509  0.250
Ta  0.891  0.382  0.250

Most intense lines, 2θ from 15° to 90°, in order of rising 2θ:
22.08 deg, intensity 54
25.95 deg, intensity 18
28.81 deg, intensity 21
34.56 deg, intensity 33
36.16 deg, intensity 28
39.16 deg, intensity 100
50.88 deg, intensity 22
67.03 deg, intensity 21
73.86 deg, intensity 20
75.76 deg, intensity 17

Please write out number 2 again, unchanged.
The following is a theoretical XRD peak list of Mg4Ta3. It was derived from a DFT-relaxed cell (GGA-PBE, OQMD), using Cu Kα X-rays.
No peak broadening, texture or thermal motion is included.

Crystal structure
Lattice parameters (Å, degrees): 7.929 7.929 4.969 90.00 90.00 120.00
Fractional positions:
Mg  0.055  0.807  0.250
Mg  0.193  0.247  0.250
Mg  0.247  0.055  0.750
Mg  0.333  0.667  0.250
Mg  0.667  0.333  0.750
Mg  0.753  0.945  0.250
Mg  0.807  0.753  0.750
Mg  0.945  0.193  0.750
Ta  0.109  0.618  0.750
Ta  0.382  0.491  0.750
Ta  0.491  0.109  0.250
Ta  0.509  0.891  0.750
Ta  0.618  0.509  0.250
Ta  0.891  0.382  0.250

Most intense lines, 2θ from 15° to 90°, in order of rising 2θ:
22.08 deg, intensity 54
25.95 deg, intensity 18
28.81 deg, intensity 21
34.56 deg, intensity 33
36.16 deg, intensity 28
39.16 deg, intensity 100
50.88 deg, intensity 22
67.03 deg, intensity 21
73.86 deg, intensity 20
75.76 deg, intensity 17